[1]
Theoretical X-ray powder pattern
Compound: CsSnBr3
Radiation: Cu Kα (weighted mean of Kα1 and Kα2)
Structure: a GGA-PBE-relaxed structure
No peak broadening, texture or thermal motion is included.

The 8 most intense peaks (10 to 90 degrees two-theta), low angle first:
- 21.38°, intensity 88.2, hkl 2 0 0
- 26.23°, intensity 37.8, hkl 2 2 0
- 26.39°, intensity 35.7, hkl 0 2 2
- 30.18°, intensity 62.0, hkl 0 4 0
- 30.61°, intensity 100.0, hkl 2 0 2
- 37.49°, intensity 34.5, hkl 0 4 2
- 37.75°, intensity 32.6, hkl 1 2 3
- 43.53°, intensity 67.3, hkl 2 4 2

```
data_CsSnBr3
_symmetry_space_group_name_H-M 'P n m a'
_symmetry_Int_Tables_number 62
_cell_length_a 8.296
_cell_length_b 11.843
_cell_length_c 8.225
_cell_angle_alpha 90.00
_cell_angle_beta 90.00
_cell_angle_gamma 90.00
loop_
_symmetry_equiv_pos_as_xyz
'x,y,z'
'-x,-y,-z'
'-x+1/2,-y,z+1/2'
'x+1/2,y,-z+1/2'
'x+1/2,-y+1/2,-z+1/2'
'-x+1/2,y+1/2,z+1/2'
'-x,y+1/2,-z'
'x,-y+1/2,z'
loop_
_atom_site_label
_atom_site_fract_x
_atom_site_fract_y
_atom_site_fract_z
Cs1 0.033 0.250 0.008
Sn1 0.000 0.000 0.500
Br1 0.007 0.750 0.452
Br2 0.206 0.525 0.794
```

***

[2]
Theoretical X-ray powder pattern
Compound: TbCu4Pd
Radiation: Cu Kα (weighted mean of Kα1 and Kα2)
Structure: a GGA-PBE-relaxed structure
No peak broadening, texture or thermal motion is included.

The 8 most intense peaks (10 to 90 degrees two-theta), low angle first:
- 21.79°, intensity 6.0, hkl 1 1 1
- 35.96°, intensity 52.4, hkl 2 2 0
- 42.44°, intensity 100.0, hkl 3 1 1
- 44.42°, intensity 21.2, hkl 2 2 2
- 64.63°, intensity 18.7, hkl 4 2 2
- 69.09°, intensity 29.8, hkl 5 1 1
- 76.24°, intensity 22.5, hkl 4 4 0
- 87.29°, intensity 8.4, hkl 6 2 0

```
data_TbCu4Pd
_symmetry_space_group_name_H-M 'F -4 3 m'
_symmetry_Int_Tables_number 216
_symmetry_space_group_name_Hall 'F -4 2 3'
_cell_length_a 7.064
_cell_length_b 7.064
_cell_length_c 7.064
_cell_angle_alpha 90.00
_cell_angle_beta 90.00
_cell_angle_gamma 90.00
loop_
_atom_site_label
_atom_site_fract_x
_atom_site_fract_y
_atom_site_fract_z
Tb1 0.000 0.000 0.000
Cu1 0.124 0.124 0.624
Pd1 0.250 0.250 0.250
```